# Sn3Pd4
Theoretical powder XRD pattern, Cu Ka. Input: a DFT-relaxed cell (PBE, Alexandria).

Crystal structure
```
data_Sn3Pd4
_chemical_formula_sum 'Sn6 Pd8'
_space_group_name_H-M_alt 'I 4/m m m'
_space_group_IT_number 139
_space_group_name_Hall '-I 4 2'
_cell_length_a 3.517
_cell_length_b 3.517
_cell_length_c 20.828
_cell_angle_alpha 90.00
_cell_angle_beta 90.00
_cell_angle_gamma 90.00
loop_
_atom_site_label
_atom_site_type_symbol
_atom_site_fract_x
_atom_site_fract_y
_atom_site_fract_z
Sn1 Sn 0.000 0.000 0.000
Sn2 Sn 0.000 0.000 0.154
Pd1 Pd 0.000 0.000 0.289
Pd2 Pd 0.000 0.000 0.430
```

Largest 6 diffraction maxima, by angle, 2θ = 5–70°:
d 2.487, 36.12 deg, intensity 70, (1 1 0); d 2.272, 39.68 deg, intensity 100, (1 0 7); d 1.758, 52.00 deg, intensity 25, (2 0 0); d 1.488, 62.42 deg, intensity 5, (0 0 14); d 1.458, 63.85 deg, intensity 2, (1 0 13); d 1.390, 67.34 deg, intensity 42, (2 1 7)